Starting from a cell relaxed with GGA-PBE, the X-ray diffraction stick pattern of Cu2Ag7 was computed for CuKα.
Peak positions follow from Bragg's law for the DFT cell and can differ from measured ones.

Peak list (10 most intense, 2θ = 10–80°, low angle first)
(hkl)	2theta	Rel. int.
1 0 3	31.75	2
1 0 7	35.65	3
1 0 9	38.52	100
1 1 0	44.14	36
0 0 18	46.02	12
2 0 0	64.20	11
1 1 18	65.67	16
1 0 23	68.91	2
1 0 25	74.37	2
2 1 9	77.43	24

Atomic structure:
```
data_Cu2Ag7
_symmetry_space_group_name_H-M 'I 4/m m m'
_symmetry_Int_Tables_number 139
_symmetry_space_group_name_Hall '-I 4 2'
_cell_length_a 2.902
_cell_length_b 2.902
_cell_length_c 35.499
_cell_angle_alpha 90.00
_cell_angle_beta 90.00
_cell_angle_gamma 90.00
loop_
_atom_site_label
_atom_site_type_symbol
_atom_site_fract_x
_atom_site_fract_y
_atom_site_fract_z
_atom_site_occupancy
Cu1 Cu 0.000 0.000 0.169 1
Ag1 Ag 0.000 0.000 0.059 1
Ag2 Ag 0.000 0.000 0.280 1
Ag3 Ag 0.000 0.000 0.381 1
Ag4 Ag 0.000 0.000 0.500 1
```

Starting from a cell relaxed with GGA-PBE, the X-ray diffraction stick pattern of Zn3Sb2 was computed for CuKα.
Peak positions follow from Bragg's law for the DFT cell and can differ from measured ones.

Peak list (10 most intense, 2θ = 10–80°, low angle first)
(hkl)	2theta	Rel. int.
1 0 1	22.48	40
2 0 0	25.16	43
1 1 1	25.80	70
2 2 0	35.87	49
0 0 2	37.73	20
3 1 1	44.71	100
2 0 2	45.89	50
5 1 1	70.65	28
4 2 2	71.54	23
3 1 3	73.00	18

Atomic structure:
```
data_Zn3Sb2
_symmetry_space_group_name_H-M 'P -4 21 m'
_symmetry_Int_Tables_number 113
_symmetry_space_group_name_Hall 'P -4 2ab'
_cell_length_a 7.080
_cell_length_b 7.080
_cell_length_c 4.769
_cell_angle_alpha 90.00
_cell_angle_beta 90.00
_cell_angle_gamma 90.00
loop_
_atom_site_label
_atom_site_type_symbol
_atom_site_fract_x
_atom_site_fract_y
_atom_site_fract_z
_atom_site_occupancy
Zn1 Zn 0.000 0.000 0.000 1
Zn2 Zn 0.134 0.366 0.764 1
Sb1 Sb 0.240 0.740 0.726 1
```